Computed powder X-ray diffraction pattern of KNpNiTe3 for Cu Kα X-rays, from a cell relaxed with PBE.
Lines closer than 0.1° are merged.

Largest 10 diffraction maxima, most intense first, 5° ≤ 2θ ≤ 70°:
2θ/deg, d/Å, Rel. int., hkl
10.8, 8.167, 100, 1 0 -1
27.8, 3.209, 59, 2 1 -1
28.1, 3.172, 30, 0 0 3
42.0, 2.151, 27, 2 1 -4
28.4, 3.138, 21, 2 1 0
37.8, 2.378, 17, 2 1 2
42.3, 2.137, 17, 0 2 0
33.8, 2.649, 16, 1 1 -3
22.9, 3.880, 13, 1 1 0
23.8, 3.742, 13, 1 0 2

Atomic structure:
```
data_KNpNiTe3
_chemical_formula_sum 'K2 Np2 Ni2 Te6'
_symmetry_space_group_name_H-M 'P 1 21/m 1'
_symmetry_Int_Tables_number 11
_symmetry_space_group_name_Hall '-P 2yb'
_cell_length_a 9.830
_cell_length_b 4.275
_cell_length_c 10.124
_cell_angle_alpha 90.00
_cell_angle_beta 109.95
_cell_angle_gamma 90.00
loop_
_atom_site_label
_atom_site_fract_x
_atom_site_fract_y
_atom_site_fract_z
K1 0.204 0.250 0.241
Np1 0.316 0.750 0.844
Ni1 0.083 0.250 0.592
Te1 0.105 0.250 0.857
Te2 0.190 0.750 0.527
Te3 0.462 0.750 0.168
```